No. 1
This entry pairs a crystal structure of LuTiClO3 with its theoretical powder diffraction line list. Radiation: λ = 1.5418 Å (Cu Kα). Structure: a crystal structure in the Materials Project, relaxed with GGA-PBE.
Lines closer than 0.1° are merged.

The 12 most intense peaks (5 to 70 degrees two-theta), in order of rising 2θ:
index	d/Å	Rel. int.
2 0 0	4.712	66.8
0 0 2	4.631	28.7
2 0 1	3.781	19.7
1 1 -1	3.466	100.0
0 0 3	3.087	18.0
2 0 2	2.909	25.5
3 1 -1	2.500	50.9
1 1 -3	2.475	27.9
4 0 -2	2.399	18.0
2 0 -4	2.367	22.4
0 2 0	1.933	21.8
0 0 5	1.853	18.9

Structure:
Cell lengths 9.8446, 3.8653, 9.6755 Å; angles 90.00, 106.81, 90.00 degrees
Space group C2/m (No. 12)
Inequivalent atoms, fractional coordinates:
Lu 0.2237 0.0000 0.2046 x4
Ti 0.1167 0.5000 0.4266 x4
Cl 0.1156 0.0000 0.9074 x4
O 0.0793 0.5000 0.6277 x4
O 0.1528 0.5000 0.2462 x4
O 0.1679 0.0000 0.4320 x4


No. 2
This entry pairs a crystal structure of SrCd3 with its theoretical powder diffraction line list. Radiation: λ = 1.5418 Å (Cu Kα). Structure: a crystal structure in the Materials Project, relaxed with GGA-PBE.
Lines closer than 0.1° are merged.

The 4 most intense peaks (5 to 70 degrees two-theta), in order of rising 2θ:
index	d/Å	Rel. int.
1 1 1	4.344	0.9
2 2 0	2.660	100.0
4 0 0	1.881	17.5
4 2 2	1.536	35.4

Structure:
Cell lengths 7.5245, 7.5245, 7.5245 Å; angles 90.00, 90.00, 90.00 degrees
Space group Fm-3m (No. 225)
Inequivalent atoms, fractional coordinates:
Sr 0.0000 0.0000 0.0000 x4
Cd 0.0000 0.0000 0.5000 x4
Cd 0.2500 0.2500 0.2500 x8


No. 3
This entry pairs a crystal structure of Y2MgTiO6 with its theoretical powder diffraction line list. Radiation: λ = 1.5418 Å (Cu Kα). Structure: a crystal structure in the Materials Project, relaxed with GGA-PBE.
Lines closer than 0.1° are merged.

The 12 most intense peaks (5 to 70 degrees two-theta), in order of rising 2θ:
index	d/Å	Rel. int.
0 0 2	3.871	53.7
1 1 0	3.466	44.2
0 2 0	2.819	36.8
1 1 1	2.743	100.0
1 1 -3	2.730	99.1
2 0 -2	2.671	44.2
0 2 1	2.648	21.5
2 2 -2	1.939	43.7
0 0 4	1.931	33.4
1 3 0	1.728	41.5
2 0 -6	1.559	38.8
3 1 -5	1.551	28.6

Structure:
Cell lengths 5.3418, 5.6383, 9.3619 Å; angles 90.00, 124.42, 90.00 degrees
Space group P2_1/c (No. 14)
Inequivalent atoms, fractional coordinates:
Y 0.2284 0.0659 0.2470 x4
Mg 0.0000 0.0000 0.5000 x2
Ti 0.5000 0.0000 0.0000 x2
O 0.1469 0.1895 0.9453 x4
O 0.2494 0.7057 0.9364 x4
O 0.3712 0.0431 0.7573 x4